# 1
Calculated powder diffractogram
Compound: CaTaOs
Radiation: Cu Kα, 1.54184 Å
Structure: a cell relaxed with PBE

Peak list (10 most intense, 2θ = 15–90°, in order of rising 2θ)
2θ/deg, d [Å], I_rel
35.29, 2.543, 100.0
39.09, 2.305, 55.6
41.90, 2.156, 36.2
46.48, 1.954, 46.0
56.47, 1.630, 19.1
58.64, 1.574, 13.9
60.20, 1.537, 19.7
68.37, 1.372, 29.1
76.06, 1.251, 23.2
87.17, 1.118, 14.4

Crystal structure
```
data_CaTaOs
_cell_length_a 3.2591
_cell_length_b 3.2591
_cell_length_c 12.2037
_cell_angle_alpha 90.00
_cell_angle_beta 90.00
_cell_angle_gamma 90.00
_space_group_name_H-M_alt 'I 4 m m'
_space_group_IT_number 107
_space_group_name_Hall 'I 4 -2'
loop_
_atom_site_label
_atom_site_fract_x
_atom_site_fract_y
_atom_site_fract_z
Ca1 0.0000 0.0000 0.0000
Ta1 0.0000 0.0000 0.2797
Os1 0.0000 0.0000 0.6794
```

***

# 2
Calculated powder diffractogram
Compound: CaTcOs
Radiation: Cu Kα, 1.54184 Å
Structure: a cell relaxed with PBE

Peak list (10 most intense, 2θ = 15–90°, in order of rising 2θ)
2θ/deg, d [Å], I_rel
16.26, 5.450, 100.0
32.87, 2.725, 15.7
34.22, 2.620, 50.0
39.38, 2.288, 55.7
40.00, 2.254, 32.4
42.87, 2.110, 36.0
48.15, 1.890, 32.3
52.20, 1.752, 16.8
52.70, 1.737, 12.9
64.31, 1.449, 15.7

Crystal structure
```
data_CaTcOs
_cell_length_a 2.8736
_cell_length_b 3.7817
_cell_length_c 10.9000
_cell_angle_alpha 90.00
_cell_angle_beta 90.00
_cell_angle_gamma 90.00
_space_group_name_H-M_alt 'I m m 2'
_space_group_IT_number 44
_space_group_name_Hall 'I 2 -2'
loop_
_atom_site_label
_atom_site_fract_x
_atom_site_fract_y
_atom_site_fract_z
Ca1 0.0000 0.0000 0.0000
Tc1 0.0000 0.0000 0.2894
Os1 0.0000 0.0000 0.7039
```

***

# 3
Calculated powder diffractogram
Compound: Ca3TeOs
Radiation: Cu Kα, 1.54184 Å
Structure: a cell relaxed with PBE

Peak list (10 most intense, 2θ = 15–90°, in order of rising 2θ)
2θ/deg, d [Å], I_rel
16.41, 5.401, 17.5
23.29, 3.819, 100.0
33.18, 2.700, 55.0
40.93, 2.205, 46.7
47.63, 1.909, 39.1
53.67, 1.708, 21.6
59.27, 1.559, 13.3
64.57, 1.443, 25.0
79.34, 1.208, 16.8
88.75, 1.102, 13.0

Crystal structure
```
data_Ca3TeOs
_cell_length_a 5.4005
_cell_length_b 5.4005
_cell_length_c 5.4005
_cell_angle_alpha 90.00
_cell_angle_beta 90.00
_cell_angle_gamma 90.00
_space_group_name_H-M_alt 'P m -3 m'
_space_group_IT_number 221
_space_group_name_Hall '-P 4 2 3'
loop_
_atom_site_label
_atom_site_fract_x
_atom_site_fract_y
_atom_site_fract_z
Ca1 0.0000 0.0000 0.5000
Te1 0.5000 0.5000 0.5000
Os1 0.0000 0.0000 0.0000
```

***

# 4
Calculated powder diffractogram
Compound: CaTl4Os
Radiation: Cu Kα, 1.54184 Å
Structure: a cell relaxed with PBE

Peak list (10 most intense, 2θ = 15–90°, in order of rising 2θ)
2θ/deg, d [Å], I_rel
17.89, 4.959, 34.3
29.41, 3.037, 12.4
34.64, 2.590, 100.0
36.23, 2.480, 59.8
42.08, 2.147, 14.8
55.60, 1.653, 34.8
61.02, 1.518, 32.2
72.11, 1.310, 12.1
73.08, 1.295, 24.0
87.17, 1.118, 23.1

Crystal structure
```
data_CaTl4Os
_cell_length_a 8.5894
_cell_length_b 8.5894
_cell_length_c 8.5894
_cell_angle_alpha 90.00
_cell_angle_beta 90.00
_cell_angle_gamma 90.00
_space_group_name_H-M_alt 'F -4 3 m'
_space_group_IT_number 216
_space_group_name_Hall 'F -4 2 3'
loop_
_atom_site_label
_atom_site_fract_x
_atom_site_fract_y
_atom_site_fract_z
Ca1 0.0000 0.0000 0.0000
Tl1 0.1242 0.1242 0.3758
Os1 0.2500 0.2500 0.7500
```

***

# 5
Calculated powder diffractogram
Compound: CaTlOs
Radiation: Cu Kα, 1.54184 Å
Structure: a cell relaxed with PBE

Peak list (10 most intense, 2θ = 15–90°, in order of rising 2θ)
2θ/deg, d [Å], I_rel
20.60, 4.312, 49.0
30.04, 2.974, 34.5
36.08, 2.490, 100.0
36.71, 2.448, 57.7
47.63, 1.909, 60.3
52.41, 1.746, 20.7
64.87, 1.437, 18.2
65.28, 1.429, 21.3
73.12, 1.294, 17.4
74.29, 1.277, 24.6

Crystal structure
```
data_CaTlOs
_cell_length_a 4.9794
_cell_length_b 4.9794
_cell_length_c 2.9743
_cell_angle_alpha 90.00
_cell_angle_beta 90.00
_cell_angle_gamma 120.00
_space_group_name_H-M_alt 'P -6 m 2'
_space_group_IT_number 187
_space_group_name_Hall 'P -6 2'
loop_
_atom_site_label
_atom_site_fract_x
_atom_site_fract_y
_atom_site_fract_z
Ca1 0.0000 0.0000 0.0000
Tl1 0.6667 0.3333 0.5000
Os1 0.3333 0.6667 0.5000
```

***

# 6
Calculated powder diffractogram
Compound: CaV2Os
Radiation: Cu Kα, 1.54184 Å
Structure: a cell relaxed with PBE

Peak list (10 most intense, 2θ = 15–90°, in order of rising 2θ)
2θ/deg, d [Å], I_rel
25.12, 3.544, 23.6
25.36, 3.512, 74.7
29.30, 3.048, 98.0
34.96, 2.566, 38.0
41.76, 2.163, 60.4
42.06, 2.148, 100.0
42.95, 2.106, 48.0
49.36, 1.846, 35.2
49.62, 1.837, 23.8
54.96, 1.671, 34.2

Crystal structure
```
data_CaV2Os
_cell_length_a 4.2964
_cell_length_b 4.2964
_cell_length_c 10.6332
_cell_angle_alpha 90.00
_cell_angle_beta 90.00
_cell_angle_gamma 120.00
_space_group_name_H-M_alt 'P 3 m 1'
_space_group_IT_number 156
_space_group_name_Hall 'P 3 -2"'
loop_
_atom_site_label
_atom_site_fract_x
_atom_site_fract_y
_atom_site_fract_z
Ca1 0.0000 0.0000 0.0000
Ca2 0.3333 0.6667 0.2962
V1 0.0000 0.0000 0.4792
V2 0.0000 0.0000 0.6966
V3 0.3333 0.6667 0.5954
V4 0.6667 0.3333 0.7752
Os1 0.3333 0.6667 0.8205
Os2 0.6667 0.3333 0.5306
```

***

# 7
Calculated powder diffractogram
Compound: CaZr3Os
Radiation: Cu Kα, 1.54184 Å
Structure: a cell relaxed with PBE

Peak list (10 most intense, 2θ = 15–90°, in order of rising 2θ)
2θ/deg, d [Å], I_rel
17.19, 5.157, 100.0
24.41, 3.647, 28.5
34.79, 2.579, 81.9
39.06, 2.306, 52.2
42.96, 2.105, 13.0
50.02, 1.823, 57.5
53.29, 1.719, 27.0
62.38, 1.489, 19.5
76.10, 1.251, 15.3
83.91, 1.153, 25.2

Crystal structure
```
data_CaZr3Os
_cell_length_a 5.1571
_cell_length_b 5.1571
_cell_length_c 5.1571
_cell_angle_alpha 90.00
_cell_angle_beta 90.00
_cell_angle_gamma 90.00
_space_group_name_H-M_alt 'P m -3 m'
_space_group_IT_number 221
_space_group_name_Hall '-P 4 2 3'
loop_
_atom_site_label
_atom_site_fract_x
_atom_site_fract_y
_atom_site_fract_z
Ca1 0.0000 0.0000 0.0000
Zr1 0.0000 0.5000 0.5000
Os1 0.5000 0.5000 0.5000
```

***

# 8
Calculated powder diffractogram
Compound: CaP3
Radiation: Cu Kα, 1.54184 Å
Structure: a cell relaxed with PBE

Peak list (10 most intense, 2θ = 15–90°, in order of rising 2θ)
2θ/deg, d [Å], I_rel
26.41, 3.375, 38.8
27.49, 3.244, 31.5
32.75, 2.735, 100.0
33.05, 2.710, 64.7
34.01, 2.636, 86.6
34.71, 2.585, 42.6
35.86, 2.504, 43.7
36.11, 2.488, 27.2
50.57, 1.805, 37.0
59.90, 1.544, 24.5

Crystal structure
```
data_CaP3
_cell_length_a 5.6089
_cell_length_b 5.6345
_cell_length_c 5.6913
_cell_angle_alpha 70.15
_cell_angle_beta 79.61
_cell_angle_gamma 74.63
_space_group_name_H-M_alt 'P -1'
_space_group_IT_number 2
_space_group_name_Hall '-P 1'
loop_
_atom_site_label
_atom_site_fract_x
_atom_site_fract_y
_atom_site_fract_z
Ca1 0.1757 0.1430 0.1482
P1 0.0989 0.3001 0.6020
P2 0.3729 0.6780 0.8944
P3 0.4952 0.3002 0.5006
```